# 1
Simulated powder diffraction line list
Compound: Ni3GeSe2S2
Radiation: Cu Ka
Structure: a cell relaxed with GGA-PBE
Intensities are scaled so that the largest is 100.

Structure:
```
8
Lattice="5.945 -2.646 0.000 5.945 2.646 0.000 -2.362 0.000 4.744" Properties=species:S:1:pos:R:3 pbc="T T T"
Ni 0.000 0.000 0.000
Ni 1.133 -0.129 3.698
Ni 8.395 -0.129 1.046
Ge 4.764 -0.195 2.372
Se 2.859 1.280 2.989
Se 6.669 1.280 1.755
S 4.151 -1.505 0.521
S 5.377 -1.505 4.224
```

Peak list (8 most intense, 2θ from 10° to 90°, in order of falling intensity)
| two_theta | I (rel.) |
| --- | --- |
| 29.16 | 100 |
| 48.50 | 44 |
| 57.71 | 25 |
| 48.63 | 22 |
| 57.49 | 13 |
| 78.56 | 9 |
| 38.96 | 8 |
| 30.33 | 6 |

# 2
Simulated powder diffraction line list
Compound: Hf3CuBi5
Radiation: Cu Ka
Structure: a cell relaxed with GGA-PBE
Intensities are scaled so that the largest is 100.

Structure:
```
9
Lattice="5.943 0.000 0.000 -2.971 5.146 0.000 0.000 0.000 8.897" Properties=species:S:1:pos:R:3 pbc="T T T"
Hf -1.486 2.573 0.000
Hf 2.971 0.000 0.000
Hf 1.486 2.573 0.000
Cu 0.000 0.000 4.448
Bi 0.000 0.000 0.000
Bi 0.000 3.431 2.661
Bi 0.000 3.431 6.236
Bi 2.971 1.715 2.661
Bi 2.971 1.715 6.236
```

Peak list (8 most intense, 2θ from 10° to 90°, in order of falling intensity)
| two_theta | I (rel.) |
| --- | --- |
| 30.10 | 100 |
| 40.51 | 94 |
| 36.35 | 81 |
| 26.49 | 36 |
| 77.21 | 32 |
| 62.53 | 31 |
| 17.23 | 25 |
| 70.96 | 24 |

# 3
Simulated powder diffraction line list
Compound: TcP4H36C12Br2
Radiation: Cu Ka
Structure: a cell relaxed with GGA-PBE
Intensities are scaled so that the largest is 100.

Structure:
```
55
Lattice="-4.728 4.728 6.049 4.728 -4.728 6.049 4.728 4.728 -6.049" Properties=species:S:1:pos:R:3 pbc="T T T"
Tc 0.000 0.000 0.000
P 1.693 1.693 -0.375
P 3.035 -3.035 6.424
P 3.035 3.035 5.674
P -3.035 3.035 6.424
H 3.781 -0.490 0.835
H 6.439 1.766 -1.665
H 3.745 2.072 -1.668
H 5.420 -1.947 3.757
H 2.781 -0.692 2.292
H 5.675 0.490 0.835
H 2.962 -1.711 4.384
H 2.072 3.745 -1.668
H 6.675 0.692 2.292
H 1.467 -1.467 5.339
H 3.017 1.766 1.665
H 5.218 -0.947 5.214
H 5.711 2.072 1.668
H 3.260 3.260 0.710
H 1.766 3.017 1.665
H 2.656 0.983 4.381
H -0.490 3.781 0.835
H -0.692 2.781 2.292
H 4.036 1.947 3.757
H 4.238 0.947 5.214
H 2.656 -0.983 7.717
H 1.766 6.439 -1.665
H -1.467 1.467 5.339
H 0.983 2.656 4.381
H 0.490 5.675 0.835
H -1.711 2.962 4.384
H 1.467 1.467 6.759
H 1.947 4.036 3.757
H 2.072 5.711 1.668
H 2.962 1.711 7.714
H 0.947 4.238 5.214
H -1.947 5.420 3.757
H 0.692 6.675 2.292
H -0.983 2.656 7.717
H 1.711 2.962 7.714
H -0.947 5.218 5.214
C 3.147 1.192 -1.387
C 2.209 -2.209 5.007
C 1.192 3.147 -1.387
C 6.308 1.192 1.387
C 2.519 2.519 1.042
C 3.536 -1.581 7.435
C 3.536 1.581 4.662
C -2.209 2.209 5.007
C 1.581 3.536 4.662
C 1.192 6.308 1.387
C 2.209 2.209 7.091
C -1.581 3.536 7.435
Br 0.000 0.000 2.604
Br 0.000 0.000 9.494
```

Peak list (8 most intense, 2θ from 10° to 90°, in order of falling intensity)
| two_theta | I (rel.) |
| --- | --- |
| 11.88 | 100 |
| 13.24 | 58 |
| 26.67 | 26 |
| 29.88 | 21 |
| 35.01 | 17 |
| 32.49 | 16 |
| 43.07 | 13 |
| 22.27 | 13 |

# 4
Simulated powder diffraction line list
Compound: Li5TcO4
Radiation: Cu Ka
Structure: a cell relaxed with GGA-PBE
Intensities are scaled so that the largest is 100.

Structure:
```
10
Lattice="5.079 0.000 0.000 0.000 3.120 0.000 -0.083 0.000 5.387" Properties=species:S:1:pos:R:3 pbc="T T T"
Li 0.000 0.000 0.000
Li 1.736 1.560 0.825
Li 1.843 0.000 3.646
Li 3.152 0.000 1.741
Li 3.260 1.560 4.562
Tc -0.042 1.560 2.693
O 1.175 0.000 1.821
O 1.173 1.560 4.416
O 3.822 1.560 0.971
O 3.820 0.000 3.566
```

Peak list (8 most intense, 2θ from 10° to 90°, in order of falling intensity)
| two_theta | I (rel.) |
| --- | --- |
| 16.46 | 100 |
| 17.46 | 86 |
| 37.60 | 68 |
| 23.90 | 42 |
| 24.27 | 38 |
| 33.71 | 32 |
| 49.06 | 30 |
| 38.06 | 28 |

# 5
Simulated powder diffraction line list
Compound: ZnC2N2
Radiation: Cu Ka
Structure: a cell relaxed with GGA-PBE
Intensities are scaled so that the largest is 100.

Structure:
```
60
Lattice="-8.211 8.211 8.211 8.211 -8.211 8.211 8.211 8.211 -8.211" Properties=species:S:1:pos:R:3 pbc="T T T"
Zn 12.316 2.053 0.000
Zn 8.211 -4.105 6.158
Zn 6.158 8.211 -4.105
Zn 6.158 0.000 4.105
Zn 4.105 6.158 0.000
Zn 8.211 4.105 2.053
Zn 0.000 4.105 6.158
Zn 4.105 2.053 8.211
Zn 2.053 8.211 4.105
Zn 2.053 0.000 12.316
Zn 0.000 12.316 2.053
Zn -4.105 6.158 8.211
C 7.628 5.682 -5.100
C 5.100 -0.583 2.529
C 5.682 -5.100 7.628
C 12.899 0.995 1.577
C 7.216 -1.577 4.689
C 10.740 3.111 0.583
C 2.529 5.100 -0.583
C 7.216 1.577 3.522
C 4.689 7.216 -1.577
C 5.682 5.100 0.583
C 5.100 0.583 5.682
C -0.583 2.529 5.100
C 3.522 7.216 1.577
C 9.206 6.634 3.522
C 1.577 3.522 7.216
C 0.583 5.682 5.100
C 3.111 0.583 10.740
C -1.577 4.689 7.216
C 6.634 3.522 9.206
C -5.100 7.628 5.682
C 0.583 10.740 3.111
C 1.577 12.899 0.995
C 0.995 1.577 12.899
C 3.522 9.206 6.634
N 4.618 -0.999 1.552
N 7.212 6.659 -4.618
N 7.698 -2.553 5.104
N 6.659 -4.618 7.212
N 13.315 0.513 2.553
N 1.552 4.618 -0.999
N 9.763 3.593 0.999
N 5.104 7.698 -2.553
N 6.659 4.618 0.999
N 7.698 2.553 3.107
N -0.999 1.552 4.618
N 4.618 0.999 6.659
N 8.724 5.658 3.107
N 3.107 7.698 2.553
N 3.593 0.999 9.763
N 2.553 3.107 7.698
N 0.999 6.659 4.618
N 5.658 3.107 8.724
N -2.553 5.104 7.698
N 0.999 9.763 3.593
N 2.553 13.315 0.513
N -4.618 7.212 6.659
N 3.107 8.724 5.658
N 0.513 2.553 13.315
```

Peak list (8 most intense, 2θ from 10° to 90°, in order of falling intensity)
| two_theta | I (rel.) |
| --- | --- |
| 13.21 | 100 |
| 20.23 | 41 |
| 15.26 | 37 |
| 24.24 | 20 |
| 26.59 | 17 |
| 33.64 | 14 |
| 60.74 | 12 |
| 50.97 | 11 |

# 6
Simulated powder diffraction line list
Compound: Dy4CI3Cl2
Radiation: Cu Ka
Structure: a cell relaxed with GGA-PBE
Intensities are scaled so that the largest is 100.

Structure:
```
10
Lattice="9.077 -1.945 0.000 9.077 1.945 0.000 -1.844 0.000 8.344" Properties=species:S:1:pos:R:3 pbc="T T T"
Dy -0.555 0.000 2.580
Dy 5.827 0.000 3.692
Dy 10.482 0.000 4.652
Dy 16.865 0.000 5.764
C 8.155 0.000 4.172
I 1.576 0.000 6.969
I 9.077 0.000 0.000
I 14.733 0.000 1.375
Cl 2.261 0.000 2.908
Cl 14.048 0.000 5.436
```

Peak list (8 most intense, 2θ from 10° to 90°, in order of falling intensity)
| two_theta | I (rel.) |
| --- | --- |
| 31.09 | 100 |
| 30.69 | 44 |
| 34.20 | 43 |
| 30.25 | 41 |
| 10.60 | 28 |
| 20.57 | 28 |
| 28.27 | 27 |
| 44.25 | 25 |

# 7
Simulated powder diffraction line list
Compound: CdPPbF
Radiation: Cu Ka
Structure: a cell relaxed with GGA-PBE
Intensities are scaled so that the largest is 100.

Structure:
```
32
Lattice="10.094 0.000 0.000 0.000 15.534 0.000 0.000 0.000 4.475" Properties=species:S:1:pos:R:3 pbc="T T T"
Cd 0.252 3.008 0.000
Cd 0.529 9.642 0.000
Cd 4.518 1.874 0.000
Cd 4.795 10.776 0.000
Cd 5.299 4.759 0.000
Cd 5.576 13.660 0.000
Cd 9.565 5.893 0.000
Cd 9.841 12.526 0.000
P 0.291 6.732 2.238
P 0.802 1.993 2.238
P 4.245 9.760 2.238
P 4.756 14.499 2.238
P 5.338 1.035 2.238
P 5.849 5.774 2.238
P 9.292 13.541 2.238
P 9.803 8.803 2.238
Pb 1.935 14.972 2.238
Pb 1.988 11.431 2.238
Pb 3.058 3.663 2.238
Pb 3.112 7.205 2.238
Pb 6.982 8.330 2.238
Pb 7.035 11.871 2.238
Pb 8.105 4.104 2.238
Pb 8.158 0.562 2.238
F 2.025 4.645 0.000
F 2.503 0.157 0.000
F 2.544 7.924 0.000
F 3.022 12.413 0.000
F 7.072 3.122 0.000
F 7.550 7.610 0.000
F 7.591 15.377 0.000
F 8.069 10.889 0.000
```

Peak list (8 most intense, 2θ from 10° to 90°, in order of falling intensity)
| two_theta | I (rel.) |
| --- | --- |
| 26.62 | 100 |
| 28.99 | 72 |
| 31.75 | 62 |
| 40.30 | 59 |
| 30.48 | 48 |
| 24.57 | 39 |
| 39.56 | 37 |
| 33.85 | 32 |

# 8
Simulated powder diffraction line list
Compound: HoSbN2O
Radiation: Cu Ka
Structure: a cell relaxed with GGA-PBE
Intensities are scaled so that the largest is 100.

Structure:
```
20
Lattice="5.674 0.000 0.000 0.000 8.083 0.000 0.000 0.000 5.460" Properties=species:S:1:pos:R:3 pbc="T T T"
Ho 0.353 2.021 0.143
Ho 2.484 6.062 2.873
Ho 3.190 2.021 2.587
Ho 5.321 6.062 5.317
Sb 0.000 0.000 2.730
Sb 0.000 4.041 2.730
Sb 2.837 0.000 0.000
Sb 2.837 4.041 0.000
N 1.133 4.552 4.388
N 1.133 7.572 4.388
N 1.704 0.511 1.658
N 1.704 3.531 1.658
N 3.970 4.552 3.803
N 3.970 7.572 3.803
N 4.541 0.511 1.072
N 4.541 3.531 1.072
O 0.242 6.062 2.055
O 2.595 2.021 4.785
O 3.079 6.062 0.675
O 5.432 2.021 3.405
```

Peak list (8 most intense, 2θ from 10° to 90°, in order of falling intensity)
| two_theta | I (rel.) |
| --- | --- |
| 31.74 | 100 |
| 32.80 | 23 |
| 31.53 | 20 |
| 57.89 | 19 |
| 46.14 | 16 |
| 44.85 | 13 |
| 56.67 | 11 |
| 25.17 | 10 |

# 9
Simulated powder diffraction line list
Compound: CdBi6S8I4
Radiation: Cu Ka
Structure: a cell relaxed with GGA-PBE
Intensities are scaled so that the largest is 100.

Structure:
```
19
Lattice="8.574 0.000 0.000 -4.216 8.072 0.000 -2.019 -1.266 8.897" Properties=species:S:1:pos:R:3 pbc="T T T"
Cd 0.000 0.000 0.000
Bi -2.267 6.177 2.896
Bi -0.123 0.627 5.938
Bi -1.989 2.761 8.544
Bi 4.327 4.046 0.353
Bi 2.461 6.180 2.959
Bi 4.606 0.629 6.001
S -2.398 5.974 0.207
S 0.012 -0.019 2.805
S -2.059 2.517 5.796
S -0.164 0.792 8.616
S 2.503 6.015 0.282
S 4.398 4.290 3.101
S 2.327 6.826 6.093
S 4.737 0.832 8.690
I 0.084 3.806 2.823
I -1.998 6.394 6.265
I 4.337 0.413 2.632
I 2.255 3.000 6.075
```

Peak list (8 most intense, 2θ from 10° to 90°, in order of falling intensity)
| two_theta | I (rel.) |
| --- | --- |
| 13.81 | 100 |
| 24.24 | 67 |
| 30.36 | 65 |
| 30.59 | 64 |
| 30.13 | 62 |
| 33.62 | 41 |
| 24.58 | 38 |
| 42.30 | 34 |